Entry 1:
ErCr2O8: theoretical powder diffractogram (a wavelength of 1.5418 Å), based on a structure optimized by DFT (PBE+U).
Peak positions follow from Bragg's law for the DFT cell and can differ from measured ones.

Principal peaks in the range 2θ from 10° to 90°, most intense first:
index  two_theta  d_spacing  I_rel
1 0 1  20.7  4.294  100
1 1 2  31.5  2.838  97
2 0 4  50.9  1.793  46
1 0 3  30.6  2.923  38
2 1 1  44.4  2.042  28
3 1 2  65.7  1.421  22
2 1 3  50.2  1.818  19
2 2 0  56.0  1.642  18
1 1 6  56.4  1.632  18
1 0 5  44.6  2.030  14

Cell and atoms:
```
data_ErCr2O8
_cell_length_a 4.6434
_cell_length_b 4.6434
_cell_length_c 11.2852
_cell_angle_alpha 90.00
_cell_angle_beta 90.00
_cell_angle_gamma 90.00
_symmetry_space_group_name_H-M 'I 4/m m m'
_symmetry_Int_Tables_number 139
_symmetry_space_group_name_Hall '-I 4 2'
loop_
_atom_site_label
_atom_site_type_symbol
_atom_site_fract_x
_atom_site_fract_y
_atom_site_fract_z
_atom_site_occupancy
Er1 Er 0.0000 0.0000 0.0000 1
Cr1 Cr 0.0000 0.5000 0.2500 1
O1 O 0.2503 0.2503 0.1441 1
```



Entry 2:
Er2Cr2O7: theoretical powder diffractogram (a wavelength of 1.5418 Å), based on a structure optimized by DFT (PBE+U).
Peak positions follow from Bragg's law for the DFT cell and can differ from measured ones.

Principal peaks in the range 2θ from 10° to 90°, most intense first:
index  two_theta  d_spacing  I_rel
2 2 2  30.9  2.889  100
4 4 0  51.7  1.769  47
6 2 2  61.4  1.509  41
4 0 0  35.9  2.502  30
1 1 1  15.3  5.779  28
3 3 1  39.2  2.296  19
6 6 2  84.4  1.148  17
3 1 1  29.6  3.018  15
8 4 0  87.1  1.119  13
5 1 1  47.2  1.926  9

Cell and atoms:
a b c (Å): 10.0092 10.0092 10.0092
angles (deg): 90.00 90.00 90.00
Space group Fd-3m (No. 227, origin choice 2)
Asymmetric unit:
Er  0.0000  0.0000  0.0000 x16
Cr  0.0000  0.0000  0.5000 x16
O  0.0812  0.3750  0.8750 x48
O  0.1250  0.1250  0.1250 x8



Entry 3:
ErCrO5: theoretical powder diffractogram (a wavelength of 1.5418 Å), based on a structure optimized by DFT (PBE+U).
Peak positions follow from Bragg's law for the DFT cell and can differ from measured ones.

Principal peaks in the range 2θ from 10° to 90°, most intense first:
index  two_theta  d_spacing  I_rel
1 0 1  23.4  3.802  100
2 0 0  24.7  3.602  95
3 1 2  57.7  1.597  35
1 1 0  17.4  5.094  35
2 1 1  34.3  2.615  33
3 0 1  42.7  2.116  31
1 1 2  44.2  2.049  29
3 2 1  50.0  1.825  22
2 2 0  35.2  2.547  22
3 1 0  39.6  2.278  19

Cell and atoms:
```
data_ErCrO5
_cell_length_a 7.2040
_cell_length_b 7.2040
_cell_length_c 4.4762
_cell_angle_alpha 90.00
_cell_angle_beta 90.00
_cell_angle_gamma 90.00
_symmetry_space_group_name_H-M 'P 4/n m m'
_symmetry_Int_Tables_number 129
loop_
_symmetry_equiv_pos_as_xyz
'x,y,z'
'-x,-y,-z'
'-y+1/2,x,z'
'y+1/2,-x,-z'
'-x+1/2,-y+1/2,z'
'x+1/2,y+1/2,-z'
'y,-x+1/2,z'
'-y,x+1/2,-z'
'x+1/2,-y,-z'
'-x+1/2,y,z'
'-y,-x,-z'
'y,x,z'
'-x,y+1/2,-z'
'x,-y+1/2,z'
'y+1/2,x+1/2,-z'
'-y+1/2,-x+1/2,z'
loop_
_atom_site_label
_atom_site_type_symbol
_atom_site_fract_x
_atom_site_fract_y
_atom_site_fract_z
_atom_site_occupancy
Er1 Er 0.2500 0.2500 0.2473 1
Cr1 Cr 0.2500 0.7500 0.5000 1
O1 O 0.0610 0.7500 0.7133 1
O2 O 0.2500 0.2500 0.7486 1
```



Entry 4:
Sr4ErCr3O12: theoretical powder diffractogram (a wavelength of 1.5418 Å), based on a structure optimized by DFT (PBE+U).
Peak positions follow from Bragg's law for the DFT cell and can differ from measured ones.

Principal peaks in the range 2θ from 10° to 90°, most intense first:
index  two_theta  d_spacing  I_rel
2 2 0  31.8  2.818  100
4 2 2  56.6  1.627  38
4 0 0  45.5  1.992  35
4 4 0  66.3  1.409  21
6 2 0  75.4  1.260  17
1 1 0  15.7  5.636  14
2 1 1  27.4  3.254  8
3 2 1  42.4  2.130  7
4 4 4  84.2  1.150  7
3 1 0  35.6  2.520  5

Cell and atoms:
```
data_Sr4ErCr3O12
_cell_length_a 7.9699
_cell_length_b 7.9699
_cell_length_c 7.9699
_cell_angle_alpha 90.00
_cell_angle_beta 90.00
_cell_angle_gamma 90.00
_symmetry_space_group_name_H-M 'I m -3 m'
_symmetry_Int_Tables_number 229
_symmetry_space_group_name_Hall '-I 4 2 3'
loop_
_atom_site_label
_atom_site_type_symbol
_atom_site_fract_x
_atom_site_fract_y
_atom_site_fract_z
_atom_site_occupancy
Sr1 Sr 0.2500 0.2500 0.2500 1
Er1 Er 0.0000 0.0000 0.0000 1
Cr1 Cr 0.0000 0.0000 0.5000 1
O1 O 0.0000 0.0000 0.2685 1
O2 O 0.0000 0.2500 0.5000 1
```



Entry 5:
ErTaCr2O6: theoretical powder diffractogram (a wavelength of 1.5418 Å), based on a structure optimized by DFT (PBE+U).
Peak positions follow from Bragg's law for the DFT cell and can differ from measured ones.

Principal peaks in the range 2θ from 10° to 90°, most intense first:
index  two_theta  d_spacing  I_rel
2 1 1  33.8  2.649  100
1 1 1  23.0  3.865  42
0 1 -1  23.2  3.842  42
0 1 1  30.2  2.958  41
1 1 -1  30.5  2.932  40
1 0 0  22.1  4.028  39
1 0 2  31.9  2.803  31
3 3 1  60.6  1.529  19
2 0 0  45.0  2.014  17
0 0 2  36.1  2.488  16

Cell and atoms:
```
data_ErTaCr2O6
_cell_length_a 5.2994
_cell_length_b 5.3054
_cell_length_c 5.6747
_cell_angle_alpha 89.58
_cell_angle_beta 65.16
_cell_angle_gamma 60.09
_symmetry_space_group_name_H-M 'P 1'
_symmetry_Int_Tables_number 1
loop_
_symmetry_equiv_pos_as_xyz
'x,y,z'
loop_
_atom_site_label
_atom_site_type_symbol
_atom_site_fract_x
_atom_site_fract_y
_atom_site_fract_z
_atom_site_occupancy
Er1 Er 0.0000 0.0000 0.0000 1
Ta1 Ta 0.9973 0.4986 0.5295 1
Cr1 Cr 0.5737 0.2097 0.5979 1
Cr2 Cr 0.5744 0.7128 0.1250 1
O1 O 0.0448 0.7960 0.3508 1
O2 O 0.1067 0.5796 0.8102 1
O3 O 0.4473 0.1220 0.3191 1
O4 O 0.5038 0.9062 0.8075 1
O5 O 0.7670 0.3274 0.8071 1
O6 O 0.7766 0.4162 0.3368 1
```



Entry 6:
ErCr2TeO8: theoretical powder diffractogram (a wavelength of 1.5418 Å), based on a structure optimized by DFT (PBE+U).
Peak positions follow from Bragg's law for the DFT cell and can differ from measured ones.

Principal peaks in the range 2θ from 10° to 90°, most intense first:
index  two_theta  d_spacing  I_rel
1 1 2  33.9  2.647  100
0 2 0  26.7  3.345  67
2 0 0  27.0  3.300  63
1 1 0  18.9  4.698  52
1 3 2  51.8  1.764  44
3 1 2  52.3  1.751  41
2 2 0  38.3  2.349  26
3 3 2  66.4  1.407  25
2 0 2  39.2  2.299  24
1 3 0  42.8  2.112  14

Cell and atoms:
```
data_ErCr2TeO8
_cell_length_a 6.6008
_cell_length_b 6.6892
_cell_length_c 6.4092
_cell_angle_alpha 90.00
_cell_angle_beta 90.00
_cell_angle_gamma 90.00
_symmetry_space_group_name_H-M 'C m m m'
_symmetry_Int_Tables_number 65
_symmetry_space_group_name_Hall '-C 2 2'
loop_
_atom_site_label
_atom_site_type_symbol
_atom_site_fract_x
_atom_site_fract_y
_atom_site_fract_z
_atom_site_occupancy
Er1 Er 0.0000 0.0000 0.0000 1
Cr1 Cr 0.0000 0.5000 0.2494 1
Te1 Te 0.0000 0.0000 0.5000 1
O1 O 0.0000 0.2989 0.5000 1
O2 O 0.0000 0.3257 0.0000 1
O3 O 0.1980 0.0000 0.2762 1
```



Entry 7:
Er2Tl2CrO6: theoretical powder diffractogram (a wavelength of 1.5418 Å), based on a structure optimized by DFT (PBE+U).
Peak positions follow from Bragg's law for the DFT cell and can differ from measured ones.

Principal peaks in the range 2θ from 10° to 90°, most intense first:
index  two_theta  d_spacing  I_rel
1 3 -1  33.0  2.717  100
1 3 1  36.2  2.480  99
0 0 2  27.3  3.263  78
1 1 -1  20.5  4.341  54
0 6 0  56.0  1.642  48
2 0 -2  37.2  2.418  47
2 0 0  32.4  2.760  45
1 3 -3  49.6  1.837  42
1 1 1  25.2  3.532  34
0 2 0  18.0  4.925  30

Cell and atoms:
```
data_Er2Tl2CrO6
_cell_length_a 5.6910
_cell_length_b 9.8496
_cell_length_c 6.7291
_cell_angle_alpha 90.00
_cell_angle_beta 104.12
_cell_angle_gamma 90.00
_symmetry_space_group_name_H-M 'C 1 2/m 1'
_symmetry_Int_Tables_number 12
loop_
_symmetry_equiv_pos_as_xyz
'x,y,z'
'-x,-y,-z'
'-x,y,-z'
'x,-y,z'
'x+1/2,y+1/2,z'
'-x+1/2,-y+1/2,-z'
'-x+1/2,y+1/2,-z'
'x+1/2,-y+1/2,z'
loop_
_atom_site_label
_atom_site_type_symbol
_atom_site_fract_x
_atom_site_fract_y
_atom_site_fract_z
_atom_site_occupancy
Er1 Er 0.0000 0.1661 0.0000 1
Tl1 Tl 0.0000 0.3367 0.5000 1
Cr1 Cr 0.0000 0.5000 0.0000 1
O1 O 0.1965 0.3485 0.1600 1
O2 O 0.2447 0.5000 0.8354 1
```